Entry 1:
Calculated X-ray diffraction stick pattern
Compound: Ac3Hg3Au
Radiation: Cu Kα, 1.54184 Å
Structure: a cell relaxed with GGA-PBE

Top 10 peaks for 2θ from 10° to 80°, by angle:
2θ (°)  intensity
29.4  1000
30.2  435
32.8  264
34.1  572
35.7  398
37.9  303
44.6  216
47.4  258
57.3  266
58.4  197

Structural model:
abc: 4.063 5.033 21.567
angles: 90.00 90.00 90.00
Atoms (fractional coordinates):
Ac: 0.000 0.000 0.000
Ac: 0.000 0.000 0.375
Ac: 0.000 0.500 0.197
Ac: 0.500 0.000 0.697
Ac: 0.500 0.500 0.500
Ac: 0.500 0.500 0.875
Hg: 0.000 0.000 0.545
Hg: 0.000 0.000 0.835
Hg: 0.000 0.500 0.626
Hg: 0.500 0.000 0.126
Hg: 0.500 0.500 0.045
Hg: 0.500 0.500 0.335
Au: 0.000 0.500 0.757
Au: 0.500 0.000 0.257

=====

Entry 2:
Calculated X-ray diffraction stick pattern
Compound: Ac3Hg2Au9
Radiation: Cu Kα, 1.54184 Å
Structure: a cell relaxed with GGA-PBE

Top 10 peaks for 2θ from 10° to 80°, by angle:
2θ (°)  intensity
30.8  288
32.1  1000
32.4  314
33.2  538
35.5  417
37.5  893
41.9  479
54.1  208
62.0  223
64.4  195

Structural model:
abc: 9.035 9.035 9.035
angles: 149.24 114.33 74.25
Atoms (fractional coordinates):
Ac: 0.000 0.000 0.000
Ac: 0.295 0.295 0.000
Ac: 0.705 0.705 0.000
Hg: 0.310 0.500 0.810
Hg: 0.690 0.500 0.190
Au: 0.023 0.663 0.361
Au: 0.150 0.863 0.287
Au: 0.302 0.663 0.639
Au: 0.423 0.137 0.287
Au: 0.500 0.000 0.500
Au: 0.577 0.863 0.713
Au: 0.698 0.337 0.361
Au: 0.850 0.137 0.713
Au: 0.977 0.337 0.639

=====

Entry 3:
Calculated X-ray diffraction stick pattern
Compound: AcHg2Au9
Radiation: Cu Kα, 1.54184 Å
Structure: a cell relaxed with GGA-PBE

Top 10 peaks for 2θ from 10° to 80°, by angle:
2θ (°)  intensity
31.0  261
32.0  175
36.1  315
37.0  1000
39.8  367
40.1  221
41.0  153
59.2  262
64.7  283
78.9  192

Structural model:
abc: 9.590 9.590 9.590
angles: 35.00 35.00 35.00
Atoms (fractional coordinates):
Ac: 0.000 0.000 0.000
Hg: 0.141 0.141 0.141
Hg: 0.859 0.859 0.859
Au: 0.079 0.588 0.588
Au: 0.334 0.334 0.334
Au: 0.412 0.412 0.921
Au: 0.412 0.921 0.412
Au: 0.500 0.500 0.500
Au: 0.588 0.079 0.588
Au: 0.588 0.588 0.079
Au: 0.666 0.666 0.666
Au: 0.921 0.412 0.412

=====

Entry 4:
Calculated X-ray diffraction stick pattern
Compound: Ac2HgAu6
Radiation: Cu Kα, 1.54184 Å
Structure: a cell relaxed with GGA-PBE

Top 10 peaks for 2θ from 10° to 80°, by angle:
2θ (°)  intensity
31.2  270
31.3  146
34.7  359
35.0  1000
41.8  91
44.5  219
50.4  139
55.7  228
64.7  185
67.5  120

Structural model:
abc: 6.601 6.601 5.806
angles: 90.03 90.03 59.94
Atoms (fractional coordinates):
Ac: 0.167 0.167 0.175
Ac: 0.833 0.833 0.825
Hg: 0.500 0.500 0.000
Au: 0.128 0.686 0.327
Au: 0.314 0.314 0.674
Au: 0.314 0.872 0.673
Au: 0.686 0.128 0.327
Au: 0.686 0.686 0.326
Au: 0.872 0.314 0.673

=====

Entry 5:
Calculated X-ray diffraction stick pattern
Compound: AcHg3Au3
Radiation: Cu Kα, 1.54184 Å
Structure: a cell relaxed with GGA-PBE

Top 10 peaks for 2θ from 10° to 80°, by angle:
2θ (°)  intensity
29.3  338
29.4  86
35.2  1000
38.6  247
49.2  128
52.1  80
64.3  64
66.5  57
66.6  78
67.6  155

Structural model:
abc: 9.282 4.671 9.305
angles: 90.00 119.88 90.00
Atoms (fractional coordinates):
Ac: 0.167 0.250 0.333
Ac: 0.833 0.750 0.667
Hg: 0.259 0.250 0.978
Hg: 0.280 0.750 0.759
Hg: 0.479 0.750 0.220
Hg: 0.521 0.250 0.780
Hg: 0.720 0.250 0.241
Hg: 0.741 0.750 0.022
Au: 0.041 0.250 0.611
Au: 0.111 0.750 0.069
Au: 0.430 0.750 0.541
Au: 0.570 0.250 0.459
Au: 0.889 0.250 0.931
Au: 0.959 0.750 0.389

=====

Entry 6:
Calculated X-ray diffraction stick pattern
Compound: Ac3Hg3Au2
Radiation: Cu Kα, 1.54184 Å
Structure: a cell relaxed with GGA-PBE

Top 10 peaks for 2θ from 10° to 80°, by angle:
2θ (°)  intensity
30.7  1000
33.2  496
33.5  644
38.2  191
40.1  179
43.5  191
51.5  199
56.0  306
61.3  185
64.4  187

Structural model:
abc: 8.170 8.170 4.160
angles: 90.00 90.00 120.00
Atoms (fractional coordinates):
Ac: 0.000 0.403 0.000
Ac: 0.403 0.000 0.000
Ac: 0.597 0.597 0.000
Hg: 0.000 0.768 0.500
Hg: 0.232 0.232 0.500
Hg: 0.768 0.000 0.500
Au: 0.333 0.667 0.500
Au: 0.667 0.333 0.500